(1)
Computed powder XRD pattern of Zn2Cu7Pt2 for CuKα, from a DFT-relaxed cell (GGA-PBE, Alexandria).
Intensities are scaled so that the largest is 1000.

Principal peaks in the range 10 to 90 degrees two-theta, sorted by position:
2θ (°)  I/Imax
13.69  374
25.23  305
25.40  485
36.53  360
38.21  486
42.77  766
43.15  742
43.74  786
44.57  1000
44.87  490

Cell and atoms:
Unit cell a=6.514 b=7.059 c=6.678 alpha=90.00 beta=104.43 gamma=90.00
Space group C2/m (No. 12)
Symmetry-distinct sites (fractional):
Zn: 0.000 0.184 0.000 x4
Cu: 0.000 0.500 0.500 x2
Cu: 0.098 0.000 0.360 x4
Cu: 0.240 0.183 0.687 x8
Pt: 0.147 0.500 0.889 x4

=====

(2)
Computed powder XRD pattern of Sm2Al3Au5 for CuKα, from a DFT-relaxed cell (GGA-PBE, Alexandria).
Intensities are scaled so that the largest is 1000.

Principal peaks in the range 10 to 90 degrees two-theta, sorted by position:
2θ (°)  I/Imax
22.93  211
25.68  210
30.94  255
32.14  256
33.04  220
33.20  1000
33.59  954
41.36  746
44.32  262
46.75  262

Cell and atoms:
Unit cell a=10.850 b=12.257 c=6.221 alpha=90.00 beta=90.00 gamma=90.00
Space group Ibam (No. 72)
Symmetry-distinct sites (fractional):
Sm: 0.231 0.134 0.000 x8
Al: 0.000 0.500 0.250 x4
Al: 0.114 0.133 0.500 x8
Au: 0.000 0.000 0.250 x4
Au: 0.000 0.266 0.250 x8
Au: 0.160 0.401 0.000 x8

=====

(3)
Computed powder XRD pattern of Ba6In2HN for CuKα, from a DFT-relaxed cell (GGA-PBE, Alexandria).
Intensities are scaled so that the largest is 1000.

Principal peaks in the range 10 to 90 degrees two-theta, sorted by position:
2θ (°)  I/Imax
26.31  175
27.31  1000
31.03  222
31.94  309
34.42  93
45.13  226
47.98  96
52.97  150
54.13  120
56.35  82

Cell and atoms:
Unit cell a=7.920 b=7.930 c=8.035 alpha=119.54 beta=119.45 gamma=90.08
Space group P-1 (No. 2)
Symmetry-distinct sites (fractional):
Ba: 0.195 0.282 0.495 x2
Ba: 0.240 0.242 0.977 x2
Ba: 0.285 0.802 0.501 x2
In: 0.250 0.749 0.999 x2
H: 0.500 0.500 0.500 x1
N: 0.000 0.000 0.500 x1

=====

(4)
Computed powder XRD pattern of BaAg2Cl8 for CuKα, from a DFT-relaxed cell (GGA-PBE, Alexandria).
Intensities are scaled so that the largest is 1000.

Principal peaks in the range 10 to 90 degrees two-theta, sorted by position:
2θ (°)  I/Imax
14.05  331
17.42  211
22.13  1000
28.56  380
34.64  183
35.27  208
37.16  493
42.03  368
45.27  146
58.60  261

Cell and atoms:
Unit cell a=7.198 b=7.198 c=13.074 alpha=90.00 beta=90.00 gamma=90.00
Space group I422 (No. 97)
Symmetry-distinct sites (fractional):
Ba: 0.000 0.000 0.000 x2
Ag: 0.000 0.500 0.250 x4
Cl: 0.157 0.327 0.625 x16

=====

(5)
Computed powder XRD pattern of LaIn4Rh2 for CuKα, from a DFT-relaxed cell (GGA-PBE, Alexandria).
Intensities are scaled so that the largest is 1000.

Principal peaks in the range 10 to 90 degrees two-theta, sorted by position:
2θ (°)  I/Imax
31.82  187
32.93  1000
33.41  656
34.97  281
36.08  291
39.21  535
43.21  241
43.44  154
54.34  178
62.59  167

Cell and atoms:
Unit cell a=18.557 b=4.595 c=7.245 alpha=90.00 beta=90.00 gamma=90.00
Space group Pnma (No. 62)
Symmetry-distinct sites (fractional):
La: 0.140 0.250 0.032 x4
In: 0.034 0.750 0.848 x4
In: 0.070 0.250 0.501 x4
In: 0.186 0.750 0.332 x4
In: 0.193 0.750 0.739 x4
Rh: 0.040 0.750 0.245 x4
Rh: 0.217 0.250 0.538 x4

=====

(6)
Computed powder XRD pattern of Tb4Te3P for CuKα, from a DFT-relaxed cell (GGA-PBE, Alexandria).
Intensities are scaled so that the largest is 1000.

Principal peaks in the range 10 to 90 degrees two-theta, sorted by position:
2θ (°)  I/Imax
29.39  1000
32.26  89
41.36  112
42.03  461
42.82  128
51.51  106
52.75  126
69.01  78
69.16  87
77.89  75

Cell and atoms:
Unit cell a=8.732 b=12.179 c=4.224 alpha=90.00 beta=90.00 gamma=90.00
Space group Cmmm (No. 65)
Symmetry-distinct sites (fractional):
Tb: 0.000 0.227 0.000 x4
Tb: 0.215 0.000 0.500 x4
Te: 0.000 0.500 0.000 x2
Te: 0.250 0.250 0.500 x4
P: 0.000 0.000 0.000 x2

=====

(7)
Computed powder XRD pattern of CsAgH2Br4 for CuKα, from a DFT-relaxed cell (GGA-PBE, Alexandria).
Intensities are scaled so that the largest is 1000.

Principal peaks in the range 10 to 90 degrees two-theta, sorted by position:
2θ (°)  I/Imax
17.55  342
20.51  176
25.75  1000
26.78  645
27.89  243
34.24  203
34.46  350
40.44  179
42.05  336
51.99  174

Cell and atoms:
Unit cell a=6.225 b=8.660 c=9.494 alpha=90.00 beta=90.00 gamma=90.00
Space group I222 (No. 23)
Symmetry-distinct sites (fractional):
Cs: 0.000 0.000 0.000 x2
Ag: 0.000 0.000 0.500 x2
H: 0.000 0.500 0.171 x4
Br: 0.205 0.367 0.821 x8

=====

(8)
Computed powder XRD pattern of Ho3Se4 for CuKα, from a DFT-relaxed cell (GGA-PBE, Alexandria).
Intensities are scaled so that the largest is 1000.

Principal peaks in the range 10 to 90 degrees two-theta, sorted by position:
2θ (°)  I/Imax
17.37  326
31.28  1000
31.60  486
44.82  369
45.06  726
55.87  383
74.13  166
74.31  165
74.84  161
82.81  250

Cell and atoms:
Unit cell a=5.720 b=5.720 c=11.325 alpha=90.00 beta=90.00 gamma=90.00
Space group I4/mmm (No. 139)
Symmetry-distinct sites (fractional):
Ho: 0.000 0.000 0.000 x2
Ho: 0.000 0.500 0.250 x4
Se: 0.000 0.000 0.253 x4
Se: 0.000 0.500 0.000 x4